1.
For SmCdI, a DFT-relaxed cell (GGA-PBE, Alexandria) gives the simulated XRD peak list in this record (CuKα).
Kinematic intensities with the Lorentz-polarization factor, no thermal factor.

The 12 most intense peaks (10° ≤ 2θ ≤ 90°), by angle:
Position (°2θ)	d/Å	I_rel
24.05	3.701	21
27.17	3.282	100
31.73	2.820	95
31.80	2.814	12
40.26	2.240	69
43.49	2.081	26
43.61	2.076	14
49.21	1.852	12
52.13	1.755	18
65.42	1.427	16
73.18	1.293	12
75.37	1.261	10

Crystal structure
```
data_SmCdI
_space_group_name_H-M_alt 'P 1'
_space_group_IT_number 1
_cell_length_a 4.480
_cell_length_b 4.480
_cell_length_c 12.312
_cell_angle_alpha 90.19
_cell_angle_beta 90.19
_cell_angle_gamma 60.02
loop_
_space_group_symop_operation_xyz
'x,y,z'
loop_
_atom_site_label
_atom_site_type_symbol
_atom_site_fract_x
_atom_site_fract_y
_atom_site_fract_z
_atom_site_occupancy
Sm1 Sm 0.001 0.001 0.187 1
Sm2 Sm 0.999 0.999 0.813 1
Cd1 Cd 0.334 0.334 0.036 1
Cd2 Cd 0.666 0.666 0.964 1
I1 I 0.331 0.331 0.656 1
I2 I 0.669 0.669 0.344 1
```

---

2.
For Sr2CdI2, a DFT-relaxed cell (GGA-PBE, Alexandria) gives the simulated XRD peak list in this record (CuKα).
Kinematic intensities with the Lorentz-polarization factor, no thermal factor.

The 12 most intense peaks (10° ≤ 2θ ≤ 90°), by angle:
Position (°2θ)	d/Å	I_rel
11.36	7.792	24
23.61	3.768	54
25.70	3.466	100
32.61	2.746	39
32.73	2.737	59
33.08	2.708	22
40.75	2.214	25
41.89	2.157	27
46.96	1.935	21
54.30	1.690	24
58.13	1.587	22
68.34	1.373	16

Crystal structure
```
data_Sr2CdI2
_space_group_name_H-M_alt 'P 1'
_space_group_IT_number 1
_cell_length_a 8.700
_cell_length_b 8.700
_cell_length_c 8.700
_cell_angle_alpha 143.33
_cell_angle_beta 143.33
_cell_angle_gamma 52.83
loop_
_space_group_symop_operation_xyz
'x,y,z'
loop_
_atom_site_label
_atom_site_type_symbol
_atom_site_fract_x
_atom_site_fract_y
_atom_site_fract_z
_atom_site_occupancy
Sr1 Sr 0.126 0.126 0.000 1
Sr2 Sr 0.874 0.874 0.000 1
Cd1 Cd 0.500 0.500 0.000 1
I1 I 0.250 0.750 0.500 1
I2 I 0.750 0.250 0.500 1
```